Entry 1:
Mg5Si6: calculated PXRD pattern (Cu Kα, 1.54184 Å), based on the GGA-PBE geometry in Alexandria.

Atomic structure:
Cell: 15.1374 15.1374 6.7386 Å, 97.79 97.79 15.27°
Atoms (fractional coordinates):
1 Mg 0.0000 0.0000 0.0000
2 Mg 0.0792 0.0792 0.6755
3 Mg 0.1616 0.1616 0.0922
4 Mg 0.2072 0.2072 0.6841
5 Mg 0.2572 0.2572 0.2448
6 Mg 0.3288 0.3288 0.9151
7 Mg 0.3679 0.3679 0.4491
8 Mg 0.5296 0.5296 0.3442
9 Mg 0.7921 0.7921 0.5864
10 Mg 0.9582 0.9582 0.5019
11 Si 0.0858 0.0858 0.2547
12 Si 0.4374 0.4374 0.8040
13 Si 0.4420 0.4420 0.1757
14 Si 0.5136 0.5136 0.7222
15 Si 0.5764 0.5764 0.9957
16 Si 0.6266 0.6266 0.4459
17 Si 0.6427 0.6427 0.8100
18 Si 0.7020 0.7020 0.3659
19 Si 0.7595 0.7595 0.9412
20 Si 0.8198 0.8198 0.2159
21 Si 0.8870 0.8870 0.7553
22 Si 0.8945 0.8945 0.1242

The 10 most intense peaks (10° ≤ 2θ ≤ 90°), in order of rising 2θ:
2θ (°), d/Å, I (rel.)
34.68, 2.587, 100
35.16, 2.553, 32
36.33, 2.473, 43
36.62, 2.454, 51
36.94, 2.433, 19
37.07, 2.425, 29
39.66, 2.273, 18
40.20, 2.243, 31
44.04, 2.056, 23
45.07, 2.012, 56

Entry 2:
Mg3Si4: calculated PXRD pattern (Cu Kα, 1.54184 Å), based on the GGA-PBE geometry in Alexandria.

Atomic structure:
Cell: 6.5084 7.8743 11.2494 Å, 73.04 85.51 74.98°
Atoms (fractional coordinates):
1 Mg 0.0000 0.0000 0.0000
2 Mg 0.0131 0.3880 0.3310
3 Mg 0.1895 0.1142 0.6638
4 Mg 0.2341 0.3575 0.8498
5 Mg 0.3359 0.5545 0.0901
6 Mg 0.4123 0.6893 0.6823
7 Mg 0.4445 0.9759 0.0830
8 Mg 0.5013 0.4230 0.3550
9 Mg 0.6700 0.0439 0.7590
10 Mg 0.7005 0.7365 0.4073
11 Mg 0.8041 0.1083 0.2384
12 Mg 0.9125 0.6774 0.6543
13 Si 0.0529 0.7745 0.8422
14 Si 0.0550 0.7457 0.2366
15 Si 0.1017 0.2592 0.1030
16 Si 0.1627 0.7054 0.4456
17 Si 0.2418 0.9927 0.4424
18 Si 0.3661 0.4191 0.5901
19 Si 0.3735 0.1800 0.2574
20 Si 0.3744 0.8454 0.8883
21 Si 0.5764 0.9671 0.5459
22 Si 0.6212 0.2484 0.9465
23 Si 0.6491 0.5555 0.8937
24 Si 0.7131 0.6633 0.1861
25 Si 0.7497 0.3909 0.5689
26 Si 0.8612 0.1201 0.4914
27 Si 0.8696 0.3223 0.7811
28 Si 0.9144 0.5717 0.0188

The 10 most intense peaks (10° ≤ 2θ ≤ 90°), in order of rising 2θ:
2θ (°), d/Å, I (rel.)
33.34, 2.688, 30
33.81, 2.651, 43
35.23, 2.548, 44
35.46, 2.531, 100
35.59, 2.522, 79
36.17, 2.483, 36
38.80, 2.321, 28
42.21, 2.141, 23
44.38, 2.041, 28
44.53, 2.035, 25